1.
Diffraction record for CsPb4Se5. The XRD peak list is calculated, not measured: it uses DFT lattice parameters and positions (GGA-PBE) and CuKα.
Lines closer than 0.1° are merged.

Structural model:
```
data_CsPb4Se5
_cell_length_a 14.827
_cell_length_b 4.416
_cell_length_c 11.354
_cell_angle_alpha 90.00
_cell_angle_beta 120.65
_cell_angle_gamma 90.00
_symmetry_space_group_name_H-M 'C 1 2/m 1'
_symmetry_Int_Tables_number 12
loop_
_symmetry_equiv_pos_as_xyz
'x,y,z'
'-x,-y,-z'
'-x,y,-z'
'x,-y,z'
'x+1/2,y+1/2,z'
'-x+1/2,-y+1/2,-z'
'-x+1/2,y+1/2,-z'
'x+1/2,-y+1/2,z'
loop_
_atom_site_label
_atom_site_fract_x
_atom_site_fract_y
_atom_site_fract_z
_atom_site_occupancy
Cs1 0.000 0.000 0.000 1
Pb1 0.099 0.500 0.402 1
Pb2 0.202 0.000 0.794 1
Se1 0.000 0.000 0.500 1
Se2 0.118 0.500 0.880 1
Se3 0.205 0.000 0.330 1
```

Main lines, low angle first (2θ = 10–80°):
Position (°2θ)  d_spacing  intensity
24.56  3.625  24
28.13  3.172  100
39.53  2.280  37
40.86  2.209  38
47.68  1.908  11
50.34  1.813  20
58.16  1.586  12
64.89  1.437  15
66.76  1.401  17
73.51  1.288  12



2.
Diffraction record for Cs3Sn3Pb8. The XRD peak list is calculated, not measured: it uses DFT lattice parameters and positions (GGA-PBE) and CuKα.
Lines closer than 0.1° are merged.

Structural model:
```
data_Cs3Sn3Pb8
_cell_length_a 19.539
_cell_length_b 5.524
_cell_length_c 12.019
_cell_angle_alpha 90.00
_cell_angle_beta 127.75
_cell_angle_gamma 90.00
_symmetry_space_group_name_H-M 'C 1 2/m 1'
_symmetry_Int_Tables_number 12
loop_
_symmetry_equiv_pos_as_xyz
'x,y,z'
'-x,-y,-z'
'-x,y,-z'
'x,-y,z'
'x+1/2,y+1/2,z'
'-x+1/2,-y+1/2,-z'
'-x+1/2,y+1/2,-z'
'x+1/2,-y+1/2,z'
loop_
_atom_site_label
_atom_site_fract_x
_atom_site_fract_y
_atom_site_fract_z
_atom_site_occupancy
Cs1 0.000 0.000 0.000 1
Cs2 0.206 0.500 0.706 1
Sn1 0.000 0.000 0.500 1
Sn2 0.148 0.500 0.291 1
Pb1 0.000 0.500 0.322 1
Pb2 0.146 0.000 0.864 1
Pb3 0.151 0.500 0.016 1
Pb4 0.153 0.000 0.433 1
```

Main lines, low angle first (2θ = 10–80°):
Position (°2θ)  d_spacing  intensity
14.74  6.009  22
27.46  3.248  21
27.50  3.243  24
27.96  3.191  100
29.17  3.062  33
29.87  2.991  44
32.42  2.762  57
34.47  2.602  33
34.84  2.575  28
48.32  1.883  23



3.
Diffraction record for Cs2Sn7Pb. The XRD peak list is calculated, not measured: it uses DFT lattice parameters and positions (GGA-PBE) and CuKα.
Lines closer than 0.1° are merged.

Structural model:
```
data_Cs2Sn7Pb
_cell_length_a 5.245
_cell_length_b 5.245
_cell_length_c 13.297
_cell_angle_alpha 90.00
_cell_angle_beta 90.00
_cell_angle_gamma 90.00
_symmetry_space_group_name_H-M 'P -4 m 2'
_symmetry_Int_Tables_number 115
loop_
_symmetry_equiv_pos_as_xyz
'x,y,z'
'y,-x,-z'
'-x,-y,z'
'-y,x,-z'
'-x,y,z'
'-y,-x,-z'
'x,-y,z'
'y,x,-z'
loop_
_atom_site_label
_atom_site_fract_x
_atom_site_fract_y
_atom_site_fract_z
_atom_site_occupancy
Cs1 0.000 0.500 0.248 1
Sn1 0.000 0.000 0.000 1
Sn2 0.000 0.500 0.628 1
Sn3 0.000 0.500 0.877 1
Sn4 0.500 0.500 0.000 1
Sn5 0.500 0.500 0.500 1
Pb1 0.000 0.000 0.500 1
```

Main lines, low angle first (2θ = 10–80°):
Position (°2θ)  d_spacing  intensity
26.33  3.385  59
27.54  3.239  100
34.19  2.623  71
36.29  2.475  45
37.93  2.372  23
43.66  2.073  31
47.81  1.902  22
49.13  1.854  26
57.24  1.609  27
66.61  1.404  21



4.
Diffraction record for Cs2Sn7Pb12. The XRD peak list is calculated, not measured: it uses DFT lattice parameters and positions (GGA-PBE) and CuKα.
Lines closer than 0.1° are merged.

Structural model:
```
data_Cs2Sn7Pb12
_cell_length_a 14.9466
_cell_length_b 14.9466
_cell_length_c 3.5490
_cell_angle_alpha 90.00
_cell_angle_beta 90.00
_cell_angle_gamma 120.00
_symmetry_space_group_name_H-M 'P -3'
_symmetry_Int_Tables_number 147
loop_
_symmetry_equiv_pos_as_xyz
'x,y,z'
'-x,-y,-z'
'-y,x-y,z'
'y,-x+y,-z'
'-x+y,-x,z'
'x-y,x,-z'
loop_
_atom_site_label
_atom_site_fract_x
_atom_site_fract_y
_atom_site_fract_z
_atom_site_occupancy
Cs1 0.3333 0.6667 0.2333 1
Sn1 0.0000 0.0000 0.5000 1
Sn2 0.1263 0.4104 0.7340 1
Pb1 0.0697 0.6162 0.7395 1
Pb2 0.0720 0.8288 0.2339 1
```

Main lines, low angle first (2θ = 10–80°):
Position (°2θ)  d_spacing  intensity
11.84  7.473  10
30.09  2.970  8
31.13  2.873  100
31.68  2.825  94
35.57  2.524  18
45.01  2.014  27
51.50  1.775  9
56.08  1.640  32
56.42  1.631  12
61.74  1.503  25



5.
Diffraction record for Cs17SnPb11. The XRD peak list is calculated, not measured: it uses DFT lattice parameters and positions (GGA-PBE) and CuKα.
Lines closer than 0.1° are merged.

Structural model:
```
data_Cs17SnPb11
_cell_length_a 14.324
_cell_length_b 20.206
_cell_length_c 12.410
_cell_angle_alpha 90.00
_cell_angle_beta 125.11
_cell_angle_gamma 90.00
_symmetry_space_group_name_H-M 'C 1 m 1'
_symmetry_Int_Tables_number 8
loop_
_symmetry_equiv_pos_as_xyz
'x,y,z'
'x,-y,z'
'x+1/2,y+1/2,z'
'x+1/2,-y+1/2,z'
loop_
_atom_site_label
_atom_site_fract_x
_atom_site_fract_y
_atom_site_fract_z
_atom_site_occupancy
Cs1 0.000 0.000 0.000 1
Cs2 0.000 0.000 0.307 1
Cs3 0.015 0.275 0.596 1
Cs4 0.051 0.500 0.570 1
Cs5 0.080 0.373 0.306 1
Cs6 0.225 0.224 0.017 1
Cs7 0.293 0.000 0.047 1
Cs8 0.306 0.000 0.614 1
Cs9 0.346 0.348 0.306 1
Cs10 0.354 0.354 0.757 1
Cs11 0.408 0.145 0.860 1
Sn1 0.128 0.500 0.082 1
Pb1 0.031 0.186 0.153 1
Pb2 0.079 0.078 0.680 1
Pb3 0.185 0.185 0.463 1
Pb4 0.208 0.422 0.938 1
Pb5 0.263 0.107 0.307 1
Pb6 0.347 0.500 0.526 1
```

Main lines, low angle first (2θ = 10–80°):
Position (°2θ)  d_spacing  intensity
15.15  5.847  41
23.22  3.831  19
24.87  3.581  62
26.39  3.377  100
26.44  3.371  19
29.20  3.058  65
29.29  3.049  66
38.80  2.321  20
44.76  2.025  19
46.61  1.948  27



6.
Diffraction record for CsTlSn2Pb. The XRD peak list is calculated, not measured: it uses DFT lattice parameters and positions (GGA-PBE) and CuKα.
Lines closer than 0.1° are merged.

Structural model:
```
data_CsTlSn2Pb
_cell_length_a 4.607
_cell_length_b 5.398
_cell_length_c 15.072
_cell_angle_alpha 90.00
_cell_angle_beta 90.00
_cell_angle_gamma 90.00
_symmetry_space_group_name_H-M 'I m m 2'
_symmetry_Int_Tables_number 44
loop_
_symmetry_equiv_pos_as_xyz
'x,y,z'
'-x,-y,z'
'-x,y,z'
'x,-y,z'
'x+1/2,y+1/2,z+1/2'
'-x+1/2,-y+1/2,z+1/2'
'-x+1/2,y+1/2,z+1/2'
'x+1/2,-y+1/2,z+1/2'
loop_
_atom_site_label
_atom_site_fract_x
_atom_site_fract_y
_atom_site_fract_z
_atom_site_occupancy
Cs1 0.000 0.000 0.000 1
Tl1 0.000 0.000 0.384 1
Sn1 0.000 0.000 0.624 1
Sn2 0.000 0.500 0.255 1
Pb1 0.000 0.500 0.732 1
```

Main lines, low angle first (2θ = 10–80°):
Position (°2θ)  d_spacing  intensity
11.74  7.536  21
26.25  3.395  46
28.08  3.177  100
33.19  2.699  41
34.07  2.632  35
34.97  2.566  57
39.11  2.303  30
42.80  2.113  25
52.21  1.752  23
73.86  1.283  21



7.
Diffraction record for Cs2Tl6SnPb. The XRD peak list is calculated, not measured: it uses DFT lattice parameters and positions (GGA-PBE) and CuKα.
Lines closer than 0.1° are merged.

Structural model:
```
data_Cs2Tl6SnPb
_cell_length_a 8.1638
_cell_length_b 8.1638
_cell_length_c 43.5261
_cell_angle_alpha 90.00
_cell_angle_beta 90.00
_cell_angle_gamma 120.00
_symmetry_space_group_name_H-M 'R -3 m'
_symmetry_Int_Tables_number 166
_symmetry_space_group_name_Hall '-R 3 2"'
loop_
_atom_site_label
_atom_site_fract_x
_atom_site_fract_y
_atom_site_fract_z
_atom_site_occupancy
Cs1 0.0000 0.0000 0.1039 1
Cs2 0.0000 0.0000 0.2800 1
Tl1 0.0503 0.5251 0.8686 1
Tl2 0.0703 0.5352 0.3056 1
Sn1 0.0000 0.0000 0.4238 1
Pb1 0.0000 0.0000 0.0000 1
Pb2 0.0000 0.0000 0.5000 1
```

Main lines, low angle first (2θ = 10–80°):
Position (°2θ)  d_spacing  intensity
12.20  7.254  34
25.80  3.453  41
27.23  3.275  100
29.06  3.073  99
32.63  2.744  29
33.80  2.652  73
34.01  2.636  31
34.56  2.595  48
42.68  2.119  41
44.39  2.041  55



8.
Diffraction record for CsTbTe3Pb. The XRD peak list is calculated, not measured: it uses DFT lattice parameters and positions (GGA-PBE) and CuKα.
Lines closer than 0.1° are merged.

Structural model:
```
data_CsTbTe3Pb
_cell_length_a 9.938
_cell_length_b 4.523
_cell_length_c 12.282
_cell_angle_alpha 90.00
_cell_angle_beta 109.52
_cell_angle_gamma 90.00
_symmetry_space_group_name_H-M 'P 1 21/m 1'
_symmetry_Int_Tables_number 11
loop_
_symmetry_equiv_pos_as_xyz
'x,y,z'
'-x,-y,-z'
'-x,y+1/2,-z'
'x,-y+1/2,z'
loop_
_atom_site_label
_atom_site_fract_x
_atom_site_fract_y
_atom_site_fract_z
_atom_site_occupancy
Cs1 0.221 0.250 0.264 1
Tb1 0.366 0.750 0.850 1
Te1 0.132 0.250 0.806 1
Te2 0.350 0.750 0.587 1
Te3 0.409 0.750 0.109 1
Pb1 0.138 0.250 0.567 1
```

Main lines, low angle first (2θ = 10–80°):
Position (°2θ)  d_spacing  intensity
23.05  3.859  15
24.20  3.678  24
27.41  3.253  100
29.09  3.069  37
31.59  2.832  20
33.58  2.668  19
39.86  2.261  24
40.01  2.254  22
40.79  2.212  31
50.10  1.821  17



9.
Diffraction record for CsTe3Pb3. The XRD peak list is calculated, not measured: it uses DFT lattice parameters and positions (GGA-PBE) and CuKα.
Lines closer than 0.1° are merged.

Structural model:
```
data_CsTe3Pb3
_cell_length_a 9.5746
_cell_length_b 9.5746
_cell_length_c 25.0082
_cell_angle_alpha 90.00
_cell_angle_beta 90.00
_cell_angle_gamma 120.00
_symmetry_space_group_name_H-M 'R -3'
_symmetry_Int_Tables_number 148
_symmetry_space_group_name_Hall '-R 3'
loop_
_atom_site_label
_atom_site_fract_x
_atom_site_fract_y
_atom_site_fract_z
_atom_site_occupancy
Cs1 0.0000 0.0000 0.1655 1
Te1 0.0047 0.6294 0.9289 1
Pb1 0.0076 0.7092 0.0466 1
```

Main lines, low angle first (2θ = 10–80°):
Position (°2θ)  d_spacing  intensity
10.61  8.336  57
18.53  4.787  48
21.39  4.153  94
28.39  3.144  77
31.94  2.802  29
32.22  2.779  31
32.39  2.764  100
37.42  2.403  43
39.14  2.302  22
46.33  1.960  49



10.
Diffraction record for Cs3TePb. The XRD peak list is calculated, not measured: it uses DFT lattice parameters and positions (GGA-PBE) and CuKα.
Lines closer than 0.1° are merged.

Structural model:
```
data_Cs3TePb
_cell_length_a 7.339
_cell_length_b 7.339
_cell_length_c 7.339
_cell_angle_alpha 90.00
_cell_angle_beta 90.00
_cell_angle_gamma 90.00
_symmetry_space_group_name_H-M 'P m -3 m'
_symmetry_Int_Tables_number 221
_symmetry_space_group_name_Hall '-P 4 2 3'
loop_
_atom_site_label
_atom_site_fract_x
_atom_site_fract_y
_atom_site_fract_z
_atom_site_occupancy
Cs1 0.000 0.000 0.500 1
Te1 0.000 0.000 0.000 1
Pb1 0.500 0.500 0.500 1
```

Main lines, low angle first (2θ = 10–80°):
Position (°2θ)  d_spacing  intensity
17.09  5.189  34
20.97  4.237  81
24.26  3.669  100
34.57  2.595  80
40.78  2.213  43
42.68  2.119  30
54.50  1.684  19
56.04  1.641  40
61.94  1.498  30
78.14  1.223  19



11.
Diffraction record for Cs2Te3Pb2. The XRD peak list is calculated, not measured: it uses DFT lattice parameters and positions (GGA-PBE) and CuKα.
Lines closer than 0.1° are merged.

Structural model:
```
data_Cs2Te3Pb2
_cell_length_a 18.976
_cell_length_b 19.505
_cell_length_c 8.168
_cell_angle_alpha 90.00
_cell_angle_beta 115.27
_cell_angle_gamma 90.00
_symmetry_space_group_name_H-M 'C 1 2/c 1'
_symmetry_Int_Tables_number 15
loop_
_symmetry_equiv_pos_as_xyz
'x,y,z'
'-x,-y,-z'
'-x,y,-z+1/2'
'x,-y,z+1/2'
'x+1/2,y+1/2,z'
'-x+1/2,-y+1/2,-z'
'-x+1/2,y+1/2,-z+1/2'
'x+1/2,-y+1/2,z+1/2'
loop_
_atom_site_label
_atom_site_fract_x
_atom_site_fract_y
_atom_site_fract_z
_atom_site_occupancy
Cs1 0.000 0.063 0.250 1
Cs2 0.000 0.223 0.750 1
Cs3 0.113 0.413 0.149 1
Te1 0.115 0.386 0.659 1
Te2 0.138 0.218 0.245 1
Te3 0.160 0.078 0.752 1
Pb1 0.189 0.242 0.651 1
Pb2 0.210 0.077 0.164 1
```

Main lines, low angle first (2θ = 10–80°):
Position (°2θ)  d_spacing  intensity
10.31  8.580  70
20.28  4.378  80
21.76  4.084  71
24.10  3.692  88
26.37  3.380  71
26.41  3.375  90
27.22  3.276  62
27.44  3.251  100
35.77  2.510  66
36.03  2.493  51



12.
Diffraction record for CsZnTe2Pb. The XRD peak list is calculated, not measured: it uses DFT lattice parameters and positions (GGA-PBE) and CuKα.
Lines closer than 0.1° are merged.

Structural model:
```
data_CsZnTe2Pb
_cell_length_a 8.525
_cell_length_b 4.182
_cell_length_c 10.385
_cell_angle_alpha 90.00
_cell_angle_beta 90.04
_cell_angle_gamma 90.00
_symmetry_space_group_name_H-M 'P 1 2/c 1'
_symmetry_Int_Tables_number 13
loop_
_symmetry_equiv_pos_as_xyz
'x,y,z'
'-x,-y,-z'
'-x,y,-z+1/2'
'x,-y,z+1/2'
loop_
_atom_site_label
_atom_site_fract_x
_atom_site_fract_y
_atom_site_fract_z
_atom_site_occupancy
Cs1 0.000 0.001 0.250 1
Zn1 0.500 0.000 0.000 1
Te1 0.266 0.430 0.000 1
Pb1 0.500 0.500 0.250 1
```

Main lines, low angle first (2θ = 10–80°):
Position (°2θ)  d_spacing  intensity
10.38  8.525  48
21.25  4.182  18
23.70  3.754  44
27.06  3.295  100
29.36  3.042  93
34.55  2.596  44
34.66  2.588  55
42.20  2.141  54
42.37  2.133  43
51.79  1.765  23